Starting from a crystal structure in the Materials Project, relaxed with PBE+U, the powder diffractogram of Li2MnVP4O14 was simulated for Cu Kα (λ = 1.5418 Å).
Peak positions follow from Bragg's law for the DFT cell and can differ from measured ones.

Most intense lines, 15 to 90 degrees two-theta, sorted by position:
2theta  d [Å]  intensity  index
17.04  5.202  100  1 1 -1
22.11  4.020  20  1 0 -2
22.36  3.977  44  0 0 2
25.27  3.524  19  1 -2 2
26.87  3.318  22  -2 1 1
28.99  3.080  29  2 0 -2
29.19  3.060  57  0 1 -3
29.55  3.023  27  1 2 0

Atomic structure:
```
Li2MnVP4O14
1.0
7.1581 0.0000 0.0000
-1.7446 9.4518 0.0000
-1.7505 -5.1100 7.9543
Li Mn V P O
4 2 2 8 28
Direct
0.0000 0.0000 0.0000
0.0007 0.5034 0.5034
0.3492 0.7513 0.2511
0.3509 0.2503 0.7510
0.4057 0.0786 0.9418
0.9449 0.8128 0.1746
0.4025 0.5765 0.4376
0.9467 0.3129 0.6749
0.1520 0.3490 0.0303
0.1583 0.8514 0.5341
0.1934 0.7199 0.9022
0.1967 0.2196 0.4016
0.5859 0.7765 0.8516
0.5886 0.2752 0.3523
0.7621 0.4036 0.9769
0.7634 0.8981 0.4764
0.0668 0.0534 0.2382
0.0707 0.5507 0.7381
0.1559 0.7336 0.0607
0.1575 0.2371 0.5604
0.1673 0.3620 0.8805
0.1699 0.8654 0.8862
0.1802 0.8686 0.3885
0.1816 0.3704 0.3886
0.1929 0.1918 0.0160
0.1928 0.6915 0.5163
0.2794 0.5130 0.1971
0.2843 0.0150 0.7032
0.4259 0.7262 0.9326
0.4273 0.2240 0.4327
0.5212 0.6325 0.6672
0.5307 0.1316 0.1686
0.5608 0.3041 0.9607
0.5632 0.7937 0.4611
0.5862 0.9453 0.8701
0.5911 0.4430 0.3715
0.7596 0.8794 0.3071
0.7625 0.3840 0.8082
0.7873 0.7916 0.9503
0.7885 0.2918 0.4572
0.8220 0.0814 0.6172
0.8251 0.5878 0.1219
0.9212 0.3204 0.0271
0.9255 0.8200 0.5274
```